Record 1
Theoretical powder X-ray diffraction pattern
Compound: LiSi6Ni6
Radiation: copper Kα
Structure: a cell relaxed with PBE

Peak list (12 most intense, 2θ = 5–70°, in order of falling intensity)
(2 2 2), 2θ = 49.4°, I = 100.0
(2 2 0), 2θ = 42.8°, I = 56.8
(0 0 2), 2θ = 23.5°, I = 51.9
(1 1 0), 2θ = 21.0°, I = 37.8
(3 0 2), 2θ = 44.2°, I = 33.8
(0 0 4), 2θ = 48.0°, I = 18.6
(1 1 4), 2θ = 52.9°, I = 18.3
(2 2 4), 2θ = 66.3°, I = 15.5
(1 1 2), 2θ = 31.7°, I = 5.3
(4 1 0), 2θ = 57.8°, I = 4.4
(1 0 1), 2θ = 16.8°, I = 3.1
(1 0 3), 2θ = 37.6°, I = 2.5

Structure:
Lattice parameters (Å, degrees): 8.4420 8.4420 7.5863 90.00 90.00 120.00
Space group P6/mmm (No. 191)
One atom of each set of equivalent atoms:
Li  0.0000  0.0000  0.0000
Li  0.3333  0.6667  0.5000
Si  0.0000  0.0000  0.3438
Si  0.0000  0.3302  0.0000
Si  0.0000  0.3372  0.5000
Si  0.3333  0.6667  0.1566
Ni  0.0000  0.5000  0.2446
Ni  0.1668  0.3336  0.2523

Record 2
Theoretical powder X-ray diffraction pattern
Compound: Mg14ZnCo
Radiation: copper Kα
Structure: a cell relaxed with PBE

Peak list (12 most intense, 2θ = 5–70°, in order of falling intensity)
(2 0 2), 2θ = 38.0°, I = 100.0
(2 0 0), 2θ = 33.0°, I = 26.6
(0 0 4), 2θ = 36.9°, I = 23.9
(1 0 0), 2θ = 16.3°, I = 18.9
(2 2 0), 2θ = 59.0°, I = 16.9
(2 0 6), 2θ = 67.2°, I = 16.9
(2 0 4), 2θ = 50.3°, I = 15.4
(1 0 2), 2θ = 24.6°, I = 9.1
(2 1 2), 2θ = 48.2°, I = 5.6
(1 1 2), 2θ = 34.0°, I = 4.8
(1 1 0), 2θ = 28.5°, I = 4.1
(0 0 2), 2θ = 18.2°, I = 3.9

Structure:
Lattice parameters (Å, degrees): 6.2622 6.2622 9.7464 90.00 90.00 120.00
Space group P-6m2 (No. 187)
One atom of each set of equivalent atoms:
Mg  0.0000  0.0000  0.2475
Mg  0.0171  0.5086  0.2559
Mg  0.3320  0.1660  0.5000
Mg  0.3335  0.1667  0.0000
Zn  0.3333  0.6667  0.0000
Co  0.3333  0.6667  0.5000

Record 3
Theoretical powder X-ray diffraction pattern
Compound: LiNiP2S6
Radiation: copper Kα
Structure: a cell relaxed with PBE

Peak list (12 most intense, 2θ = 5–70°, in order of falling intensity)
(0 0 1), 2θ = 13.2°, I = 100.0
(1 3 1), 2θ = 35.2°, I = 80.9
(2 0 -2), 2θ = 35.7°, I = 46.9
(1 1 0), 2θ = 17.9°, I = 33.3
(0 0 2), 2θ = 26.6°, I = 29.1
(3 3 -1), 2θ = 54.1°, I = 26.7
(1 3 0), 2θ = 30.6°, I = 22.8
(1 1 -1), 2θ = 19.7°, I = 20.3
(0 2 0), 2θ = 17.3°, I = 20.0
(1 3 -3), 2θ = 47.7°, I = 16.2
(0 6 0), 2θ = 53.8°, I = 13.7
(2 0 -1), 2θ = 30.9°, I = 12.4

Structure:
Lattice parameters (Å, degrees): 5.865 10.230 6.964 90.00 105.39 90.00
Space group C2 (No. 5)
One atom of each set of equivalent atoms:
Li  0.000  0.000  0.000
Ni  0.000  0.332  0.000
P  0.054  0.666  0.162
S  0.220  0.491  0.236
S  0.232  0.328  0.771
S  0.240  0.183  0.236

Record 4
Theoretical powder X-ray diffraction pattern
Compound: KSb4F13
Radiation: copper Kα
Structure: a cell relaxed with PBE

Peak list (12 most intense, 2θ = 5–70°, in order of falling intensity)
(2 2 0), 2θ = 24.6°, I = 100.0
(1 0 1), 2θ = 17.2°, I = 36.0
(4 0 0), 2θ = 35.0°, I = 26.4
(4 4 0), 2θ = 50.4°, I = 24.3
(4 0 2), 2θ = 46.8°, I = 18.3
(3 0 1), 2θ = 30.2°, I = 17.8
(2 2 2), 2θ = 39.2°, I = 17.2
(2 6 2), 2θ = 65.7°, I = 13.9
(0 0 2), 2θ = 30.0°, I = 13.3
(4 3 1), 2θ = 46.9°, I = 13.0
(4 1 1), 2θ = 39.3°, I = 11.0
(4 4 2), 2θ = 59.8°, I = 10.1

Structure:
Lattice parameters (Å, degrees): 10.238 10.238 5.954 90.00 90.00 90.00
Space group I4/m (No. 87)
One atom of each set of equivalent atoms:
K  0.000  0.000  0.000
Sb  0.002  0.269  0.500
F  0.000  0.000  0.500
F  0.076  0.387  0.000
F  0.110  0.798  0.260